Record 1
Theoretical XRD peak list
Compound: Rb2O
Radiation: Cu Kα, 1.54184 Å
Structure: a PBE-relaxed structure

Top 8 peaks for 2θ = 10–90°, in order of rising 2θ:
| index | 2θ (°) | I_rel |
| --- | --- | --- |
| 0 4 0 | 26.38 | 33 |
| 2 1 0 | 26.76 | 67 |
| 0 2 2 | 28.50 | 50 |
| 2 2 0 | 29.14 | 100 |
| 0 4 1 | 29.30 | 65 |
| 1 2 2 | 31.38 | 37 |
| 2 0 2 | 36.45 | 36 |
| 2 2 2 | 38.89 | 39 |

Structure:
a b c (Å): 6.8798 13.5117 7.0692
angles (deg): 90.00 90.00 90.00
Space group Pbca (No. 61)
One atom of each set of equivalent atoms:
Rb1 0.0010 0.0239 0.2388
Rb2 0.1480 0.7041 0.8820
O1 0.2300 0.1140 0.5396

Record 2
Theoretical XRD peak list
Compound: Mg6MnB
Radiation: Cu Kα, 1.54184 Å
Structure: a PBE-relaxed structure

Top 8 peaks for 2θ = 10–90°, in order of rising 2θ:
| index | 2θ (°) | I_rel |
| --- | --- | --- |
| 0 0 2 | 16.35 | 19 |
| 1 1 1 | 25.95 | 20 |
| 0 2 2 | 32.68 | 34 |
| 1 2 2 | 38.70 | 100 |
| 1 0 4 | 39.03 | 46 |
| 2 0 0 | 40.98 | 31 |
| 2 2 2 | 53.38 | 15 |
| 3 2 2 | 73.12 | 18 |

Structure:
a b c (Å): 4.4043 6.3511 10.8398
angles (deg): 90.00 90.00 90.00
Space group Amm2 (No. 38)
One atom of each set of equivalent atoms:
Mg1 0.0000 0.0000 0.0000
Mg2 0.0000 0.2298 0.2561
Mg3 0.5000 0.0000 0.8288
Mg4 0.5000 0.2317 0.5671
Mn1 0.0000 0.0000 0.4695
B1 0.5000 0.0000 0.3855

Record 3
Theoretical XRD peak list
Compound: Mg5Si9
Radiation: Cu Kα, 1.54184 Å
Structure: a PBE-relaxed structure

Top 8 peaks for 2θ = 10–90°, in order of rising 2θ:
| index | 2θ (°) | I_rel |
| --- | --- | --- |
| 1 -3 1 | 34.81 | 56 |
| 1 2 0 | 36.02 | 50 |
| 1 -3 0 | 36.32 | 50 |
| 2 1 -2 | 36.93 | 57 |
| 1 -2 4 | 37.27 | 43 |
| 2 -1 3 | 37.85 | 80 |
| -1 1 4 | 39.49 | 100 |
| 2 1 -3 | 39.79 | 41 |

Structure:
a b c (Å): 6.8593 7.7480 10.8977
angles (deg): 105.83 92.70 114.74
Space group P1 (No. 1)
One atom of each set of equivalent atoms:
Mg1 0.0000 0.0000 0.0000
Mg2 0.0110 0.2887 0.4121
Mg3 0.0545 0.3222 0.6901
Mg4 0.0868 0.9424 0.4983
Mg5 0.2650 0.8211 0.1232
Mg6 0.3242 0.6955 0.6221
Mg7 0.4859 0.5938 0.1772
Mg8 0.5043 0.1980 0.0221
Mg9 0.5659 0.1508 0.6524
Mg10 0.7604 0.4959 0.3383
Si1 0.0345 0.4062 0.1690
Si2 0.1968 0.7789 0.8583
Si3 0.1993 0.0330 0.7681
Si4 0.2355 0.3525 0.9263
Si5 0.2481 0.6916 0.3668
Si6 0.3149 0.2115 0.2553
Si7 0.4260 0.3261 0.5056
Si8 0.5022 0.5235 0.7801
Si9 0.5157 0.0546 0.3689
Si10 0.5503 0.8232 0.9516
Si11 0.6428 0.8395 0.4688
Si12 0.7126 0.0479 0.1795
Si13 0.7958 0.8640 0.6978
Si14 0.8196 0.5190 0.5955
Si15 0.8223 0.1898 0.8725
Si16 0.8388 0.5237 0.8612
Si17 0.8461 0.5815 0.0951
Si18 0.9602 0.9242 0.2427

Record 4
Theoretical XRD peak list
Compound: Al2Bi3O9
Radiation: Cu Kα, 1.54184 Å
Structure: a PBE-relaxed structure

Top 8 peaks for 2θ = 10–90°, in order of rising 2θ:
| index | 2θ (°) | I_rel |
| --- | --- | --- |
| 0 0 3 | 21.04 | 44 |
| 1 0 0 | 24.47 | 91 |
| 1 0 3 | 32.49 | 100 |
| 1 1 0 | 34.88 | 57 |
| 1 1 3 | 41.09 | 70 |
| 1 0 5 | 43.53 | 29 |
| 2 0 0 | 50.16 | 34 |
| 2 1 3 | 61.04 | 36 |

Structure:
a b c (Å): 3.6375 3.6375 12.6685
angles (deg): 90.00 90.00 90.00
Space group P4/mmm (No. 123)
One atom of each set of equivalent atoms:
Al1 0.0000 0.0000 0.1664
Bi1 0.5000 0.5000 0.0000
Bi2 0.5000 0.5000 0.3692
O1 0.0000 0.0000 0.0000
O2 0.0000 0.0000 0.3150
O3 0.0000 0.5000 0.1499
O4 0.0000 0.5000 0.5000

Record 5
Theoretical XRD peak list
Compound: NaNb6Te8
Radiation: Cu Kα, 1.54184 Å
Structure: a PBE-relaxed structure

Top 8 peaks for 2θ = 10–90°, in order of rising 2θ:
| index | 2θ (°) | I_rel |
| --- | --- | --- |
| 3 0 0 | 28.78 | 38 |
| 2 0 1 | 30.84 | 62 |
| 1 3 0 | 34.75 | 69 |
| 1 2 1 | 35.17 | 100 |
| 4 -2 1 | 41.51 | 36 |
| 0 0 2 | 49.21 | 45 |
| 1 3 2 | 61.61 | 25 |
| 5 3 1 | 76.05 | 34 |

Structure:
a b c (Å): 10.7470 10.7470 3.7062
angles (deg): 90.00 90.00 120.00
Space group P-3 (No. 147)
One atom of each set of equivalent atoms:
Na1 0.0000 0.0000 0.0000
Nb1 0.1013 0.6119 0.7509
Te1 0.0615 0.3327 0.7482
Te2 0.3333 0.6667 0.2503

Record 6
Theoretical XRD peak list
Compound: InBiSe3
Radiation: Cu Kα, 1.54184 Å
Structure: a PBE-relaxed structure

Top 8 peaks for 2θ = 10–90°, in order of rising 2θ:
| index | 2θ (°) | I_rel |
| --- | --- | --- |
| 0 0 6 | 17.78 | 22 |
| 0 1 5 | 29.13 | 100 |
| 0 1 8 | 34.74 | 15 |
| 1 0 10 | 39.29 | 30 |
| 1 1 0 | 43.95 | 37 |
| 1 0 13 | 46.97 | 13 |
| 2 0 5 | 53.60 | 18 |
| 1 2 5 | 71.73 | 15 |

Structure:
a b c (Å): 4.1206 4.1206 29.9316
angles (deg): 90.00 90.00 120.00
Space group R3m (No. 160, hexagonal axes)
One atom of each set of equivalent atoms:
In1 0.0000 0.0000 0.0000
Bi1 0.0000 0.0000 0.2060
Se1 0.0000 0.0000 0.3769
Se2 0.0000 0.0000 0.6060
Se3 0.0000 0.0000 0.8195

- Which formula does entry 6 have?
  InBiSe3